Entry 1:
For ErClO, the PBE geometry in the Materials Project gives the simulated powder XRD pattern in this record (Cu Kα).
No peak broadening, texture or thermal motion is included.

Cell and atoms:
abc: 3.884 3.884 6.667
angles: 90.00 90.00 90.00
Positions (direct):
Er 0.250 0.250 0.166
Er 0.750 0.750 0.834
Cl 0.250 0.250 0.627
Cl 0.750 0.750 0.373
O 0.250 0.750 0.000
O 0.750 0.250 0.000

Peak list (12 most intense, 10 to 90 degrees two-theta, by angle)
13.3 deg, intensity 46, hkl 0 0 1; 26.6 deg, intensity 88, hkl 1 0 1; 32.6 deg, intensity 66, hkl 1 1 0; 35.5 deg, intensity 100, hkl 1 0 2; 42.7 deg, intensity 18, hkl 1 1 2; 46.8 deg, intensity 33, hkl 2 0 0; 53.0 deg, intensity 24, hkl 1 1 3; 54.6 deg, intensity 26, hkl 2 1 1; 60.1 deg, intensity 42, hkl 2 1 2; 60.4 deg, intensity 14, hkl 1 0 4; 77.7 deg, intensity 11, hkl 3 1 0; 79.7 deg, intensity 12, hkl 2 1 4

Entry 2:
For Ag7PS6, the PBE geometry in the Materials Project gives the simulated powder XRD pattern in this record (Cu Kα).
No peak broadening, texture or thermal motion is included.

Cell and atoms:
abc: 10.531 10.531 10.531
angles: 90.00 90.00 90.00
Positions (direct):
Ag 0.008 0.227 0.516
Ag 0.016 0.492 0.773
Ag 0.073 0.597 0.233
Ag 0.097 0.267 0.927
Ag 0.148 0.852 0.352
Ag 0.227 0.516 0.008
Ag 0.233 0.073 0.597
Ag 0.267 0.927 0.097
Ag 0.273 0.484 0.508
Ag 0.352 0.148 0.852
Ag 0.403 0.733 0.427
Ag 0.427 0.403 0.733
Ag 0.484 0.508 0.273
Ag 0.492 0.773 0.016
Ag 0.508 0.273 0.484
Ag 0.516 0.008 0.227
Ag 0.573 0.903 0.767
Ag 0.597 0.233 0.073
Ag 0.648 0.648 0.648
Ag 0.727 0.984 0.992
Ag 0.733 0.427 0.403
Ag 0.767 0.573 0.903
Ag 0.773 0.016 0.492
Ag 0.852 0.352 0.148
Ag 0.903 0.767 0.573
Ag 0.927 0.097 0.267
Ag 0.984 0.992 0.727
Ag 0.992 0.727 0.984
P 0.249 0.249 0.249
P 0.251 0.751 0.749
P 0.749 0.251 0.751
P 0.751 0.749 0.251
S 0.015 0.985 0.485
S 0.132 0.367 0.355
S 0.133 0.645 0.632
S 0.135 0.135 0.135
S 0.145 0.868 0.867
S 0.219 0.281 0.719
S 0.281 0.719 0.219
S 0.355 0.132 0.367
S 0.365 0.865 0.635
S 0.367 0.355 0.132
S 0.368 0.633 0.855
S 0.485 0.015 0.985
S 0.515 0.515 0.515
S 0.632 0.133 0.645
S 0.633 0.855 0.368
S 0.635 0.365 0.865
S 0.645 0.632 0.133
S 0.719 0.219 0.281
S 0.781 0.781 0.781
S 0.855 0.368 0.633
S 0.865 0.635 0.365
S 0.867 0.145 0.868
S 0.868 0.867 0.145
S 0.985 0.485 0.015

Peak list (12 most intense, 10 to 90 degrees two-theta, by angle)
14.6 deg, intensity 33, hkl 1 1 1; 25.4 deg, intensity 32, hkl 2 2 1; 29.4 deg, intensity 100, hkl 2 2 2; 30.6 deg, intensity 34, hkl 3 0 2; 31.8 deg, intensity 47, hkl 3 1 2; 36.2 deg, intensity 57, hkl 4 1 1; 38.2 deg, intensity 24, hkl 4 2 0; 39.2 deg, intensity 26, hkl 4 1 2; 43.8 deg, intensity 26, hkl 5 0 1; 44.7 deg, intensity 27, hkl 3 3 3; 48.9 deg, intensity 30, hkl 4 4 0; 59.5 deg, intensity 25, hkl 6 3 1